No. 1
Simulated X-ray diffraction stick pattern
Compound: Dy2Y2CICl4
Radiation: Cu Kα (weighted mean of Kα1 and Kα2)
Structure: a structure optimized by DFT (GGA-PBE)

Most intense lines, 2θ = 15–90°, low angle first:
2θ/deg	intensity
29.0	27
31.5	100
31.8	39
32.4	49
34.6	17
36.8	19
43.7	17
45.7	27
46.0	28
47.7	19

```
data_Dy2Y2CICl4
_symmetry_space_group_name_H-M 'C 1 2/m 1'
_symmetry_Int_Tables_number 12
_cell_length_a 17.0775
_cell_length_b 3.8141
_cell_length_c 8.4840
_cell_angle_alpha 90.00
_cell_angle_beta 103.79
_cell_angle_gamma 90.00
loop_
_symmetry_equiv_pos_as_xyz
'x,y,z'
'-x,-y,-z'
'-x,y,-z'
'x,-y,z'
'x+1/2,y+1/2,z'
'-x+1/2,-y+1/2,-z'
'-x+1/2,y+1/2,-z'
'x+1/2,-y+1/2,z'
loop_
_atom_site_label
_atom_site_type_symbol
_atom_site_fract_x
_atom_site_fract_y
_atom_site_fract_z
Dy1 Dy 0.0012 0.0000 0.3089
Y1 Y 0.1437 0.5000 0.5751
C1 C 0.0000 0.5000 0.5000
I1 I 0.0000 0.5000 0.0000
Cl1 Cl 0.1637 0.0000 0.8089
Cl2 Cl 0.1709 0.0000 0.3577
```

---

No. 2
Simulated X-ray diffraction stick pattern
Compound: Dy2Y2CI4Cl
Radiation: Cu Kα (weighted mean of Kα1 and Kα2)
Structure: a structure optimized by DFT (GGA-PBE)

Most intense lines, 2θ = 15–90°, low angle first:
2θ/deg	intensity
22.1	29
23.3	36
28.5	54
31.6	100
32.1	14
33.1	34
42.9	30
43.2	28
46.6	19
55.5	16

```
data_Dy2Y2CI4Cl
_symmetry_space_group_name_H-M 'C 1 2/m 1'
_symmetry_Int_Tables_number 12
_cell_length_a 19.2060
_cell_length_b 3.9002
_cell_length_c 8.2200
_cell_angle_alpha 90.00
_cell_angle_beta 101.86
_cell_angle_gamma 90.00
loop_
_symmetry_equiv_pos_as_xyz
'x,y,z'
'-x,-y,-z'
'-x,y,-z'
'x,-y,z'
'x+1/2,y+1/2,z'
'-x+1/2,-y+1/2,-z'
'-x+1/2,y+1/2,-z'
'x+1/2,-y+1/2,z'
loop_
_atom_site_label
_atom_site_type_symbol
_atom_site_fract_x
_atom_site_fract_y
_atom_site_fract_z
Dy1 Dy 0.0009 0.0000 0.2980
Y1 Y 0.1279 0.5000 0.5641
C1 C 0.0000 0.5000 0.5000
I1 I 0.1613 0.0000 0.8518
I2 I 0.1666 0.0000 0.3115
Cl1 Cl 0.0000 0.5000 0.0000
```

---

No. 3
Simulated X-ray diffraction stick pattern
Compound: Dy2Y2CI4Cl
Radiation: Cu Kα (weighted mean of Kα1 and Kα2)
Structure: a structure optimized by DFT (GGA-PBE)

Most intense lines, 2θ = 15–90°, low angle first:
2θ/deg	intensity
18.9	23
25.4	13
28.5	37
30.3	19
31.6	100
33.1	28
42.9	21
43.2	20
44.1	15
46.5	18

```
data_Dy2Y2CI4Cl
_symmetry_space_group_name_H-M 'C 1 2/m 1'
_symmetry_Int_Tables_number 12
_cell_length_a 19.2174
_cell_length_b 3.9067
_cell_length_c 8.2174
_cell_angle_alpha 90.00
_cell_angle_beta 101.86
_cell_angle_gamma 90.00
loop_
_symmetry_equiv_pos_as_xyz
'x,y,z'
'-x,-y,-z'
'-x,y,-z'
'x,-y,z'
'x+1/2,y+1/2,z'
'-x+1/2,-y+1/2,-z'
'-x+1/2,y+1/2,-z'
'x+1/2,-y+1/2,z'
loop_
_atom_site_label
_atom_site_type_symbol
_atom_site_fract_x
_atom_site_fract_y
_atom_site_fract_z
Dy1 Dy 0.1273 0.0000 0.0638
Y1 Y 0.0009 0.5000 0.7974
C1 C 0.0000 0.0000 0.0000
I1 I 0.1616 0.5000 0.3508
I2 I 0.1667 0.5000 0.8125
Cl1 Cl 0.0000 0.0000 0.5000
```

---

No. 4
Simulated X-ray diffraction stick pattern
Compound: Dy2Sc2CCl5
Radiation: Cu Kα (weighted mean of Kα1 and Kα2)
Structure: a structure optimized by DFT (GGA-PBE)

Most intense lines, 2θ = 15–90°, low angle first:
2θ/deg	intensity
18.3	33
22.5	39
27.6	36
30.7	29
33.2	42
33.9	44
34.7	100
41.6	26
48.4	28
49.1	27

```
data_Dy2Sc2CCl5
_symmetry_space_group_name_H-M 'C 1 2/m 1'
_symmetry_Int_Tables_number 12
_cell_length_a 16.6708
_cell_length_b 3.6053
_cell_length_c 7.4393
_cell_angle_alpha 90.00
_cell_angle_beta 103.92
_cell_angle_gamma 90.00
loop_
_symmetry_equiv_pos_as_xyz
'x,y,z'
'-x,-y,-z'
'-x,y,-z'
'x,-y,z'
'x+1/2,y+1/2,z'
'-x+1/2,-y+1/2,-z'
'-x+1/2,y+1/2,-z'
'x+1/2,-y+1/2,z'
loop_
_atom_site_label
_atom_site_type_symbol
_atom_site_fract_x
_atom_site_fract_y
_atom_site_fract_z
Dy1 Dy 0.1452 0.0000 0.0818
Sc1 Sc 0.9998 0.5000 0.2030
C1 C 0.0000 0.0000 0.0000
Cl1 Cl 0.0000 0.0000 0.5000
Cl2 Cl 0.1596 0.5000 0.3529
Cl3 Cl 0.1665 0.5000 0.8227
```

---

No. 5
Simulated X-ray diffraction stick pattern
Compound: DyTmC2Cl2
Radiation: Cu Kα (weighted mean of Kα1 and Kα2)
Structure: a structure optimized by DFT (GGA-PBE)

Most intense lines, 2θ = 15–90°, low angle first:
2θ/deg	intensity
25.3	29
27.5	51
28.4	59
29.7	76
31.6	40
32.6	28
33.0	100
38.6	58
43.1	36
46.9	38

```
data_DyTmC2Cl2
_symmetry_space_group_name_H-M 'C 1 m 1'
_symmetry_Int_Tables_number 8
_cell_length_a 6.8632
_cell_length_b 3.6918
_cell_length_c 10.6312
_cell_angle_alpha 90.00
_cell_angle_beta 95.68
_cell_angle_gamma 90.00
loop_
_symmetry_equiv_pos_as_xyz
'x,y,z'
'x,-y,z'
'x+1/2,y+1/2,z'
'x+1/2,-y+1/2,z'
loop_
_atom_site_label
_atom_site_type_symbol
_atom_site_fract_x
_atom_site_fract_y
_atom_site_fract_z
Dy1 Dy 0.0000 0.0000 0.0000
Tm1 Tm 0.2917 0.0000 0.2766
C1 C 0.0725 0.5000 0.1780
C2 C 0.2198 0.5000 0.1045
Cl1 Cl 0.3232 0.0000 0.8375
Cl2 Cl 0.4645 0.5000 0.4353
```

---

No. 6
Simulated X-ray diffraction stick pattern
Compound: DyYC2Cl2
Radiation: Cu Kα (weighted mean of Kα1 and Kα2)
Structure: a structure optimized by DFT (GGA-PBE)

Most intense lines, 2θ = 15–90°, low angle first:
2θ/deg	intensity
16.7	31
27.1	50
28.1	40
29.5	72
31.4	36
32.7	100
38.2	49
42.8	35
46.3	36
50.0	23

```
data_DyYC2Cl2
_symmetry_space_group_name_H-M 'C 1 m 1'
_symmetry_Int_Tables_number 8
_cell_length_a 6.9328
_cell_length_b 3.7358
_cell_length_c 10.6853
_cell_angle_alpha 90.00
_cell_angle_beta 95.38
_cell_angle_gamma 90.00
loop_
_symmetry_equiv_pos_as_xyz
'x,y,z'
'x,-y,z'
'x+1/2,y+1/2,z'
'x+1/2,-y+1/2,z'
loop_
_atom_site_label
_atom_site_type_symbol
_atom_site_fract_x
_atom_site_fract_y
_atom_site_fract_z
Dy1 Dy 0.0000 0.0000 0.0000
Y1 Y 0.2082 0.5000 0.7221
C1 C 0.2810 0.0000 0.8982
C2 C 0.4276 0.0000 0.8249
Cl1 Cl 0.0326 0.0000 0.5617
Cl2 Cl 0.1746 0.5000 0.1596
```